No. 1
# Na5Ni2P2C2O14
Theoretical powder diffractogram, copper Kα. Input: the GGA+U geometry in Alexandria.
Neutral-atom scattering factors, no anomalous dispersion.

Crystal structure
```
Na5Ni2P2C2O14
1.0
5.169 0.000 0.000
0.177 11.091 0.000
0.181 3.205 10.699
Na Ni P C O
10 4 4 4 28
Direct
0.231 0.087 0.332
0.242 0.617 0.132
0.247 0.386 0.372
0.249 0.880 0.880
0.253 0.130 0.636
0.747 0.870 0.364
0.751 0.120 0.120
0.753 0.614 0.628
0.758 0.383 0.868
0.769 0.913 0.668
0.215 0.200 0.945
0.218 0.699 0.451
0.782 0.301 0.549
0.785 0.800 0.055
0.288 0.416 0.663
0.289 0.916 0.167
0.711 0.084 0.833
0.712 0.584 0.337
0.273 0.337 0.085
0.276 0.842 0.593
0.724 0.158 0.407
0.727 0.663 0.915
0.047 0.307 0.054
0.051 0.813 0.559
0.151 0.839 0.092
0.155 0.340 0.586
0.205 0.368 0.803
0.212 0.557 0.616
0.214 0.058 0.121
0.219 0.873 0.309
0.295 0.914 0.665
0.299 0.402 0.161
0.411 0.098 0.850
0.411 0.600 0.348
0.469 0.293 0.036
0.481 0.799 0.549
0.519 0.201 0.451
0.531 0.707 0.964
0.589 0.400 0.652
0.589 0.902 0.150
0.701 0.598 0.839
0.705 0.086 0.335
0.781 0.127 0.691
0.786 0.942 0.879
0.788 0.443 0.384
0.795 0.632 0.197
0.845 0.660 0.414
0.849 0.161 0.908
0.949 0.187 0.441
0.953 0.693 0.946
```

Principal peaks in the range 10° ≤ 2θ ≤ 90°, by angle:
| 2theta | I/Imax |
| --- | --- |
| 26.1 | 53 |
| 26.8 | 100 |
| 33.5 | 57 |
| 33.6 | 53 |
| 33.8 | 55 |
| 34.7 | 79 |

---

No. 2
# Na6Ni2C4SO16
Theoretical powder diffractogram, copper Kα. Input: the GGA+U geometry in Alexandria.
Neutral-atom scattering factors, no anomalous dispersion.

Crystal structure
```
Na6Ni2C4SO16
1.0
0.000 6.981 6.981
6.981 0.000 6.981
6.981 6.981 0.000
Na Ni C S O
12 4 8 2 32
Direct
0.092 0.092 0.658
0.092 0.658 0.092
0.092 0.658 0.658
0.342 0.342 0.908
0.342 0.908 0.342
0.342 0.908 0.908
0.658 0.092 0.092
0.658 0.092 0.658
0.658 0.658 0.092
0.908 0.342 0.342
0.908 0.342 0.908
0.908 0.908 0.342
0.000 0.500 0.500
0.500 0.000 0.500
0.500 0.500 0.000
0.500 0.500 0.500
0.283 0.283 0.283
0.283 0.283 0.652
0.283 0.652 0.283
0.348 0.717 0.717
0.652 0.283 0.283
0.717 0.348 0.717
0.717 0.717 0.348
0.717 0.717 0.717
0.125 0.125 0.125
0.875 0.875 0.875
0.063 0.063 0.063
0.063 0.063 0.311
0.063 0.311 0.063
0.140 0.306 0.654
0.140 0.399 0.306
0.140 0.654 0.399
0.306 0.140 0.399
0.306 0.399 0.654
0.306 0.654 0.140
0.311 0.063 0.063
0.346 0.601 0.860
0.346 0.694 0.601
0.346 0.860 0.694
0.399 0.140 0.654
0.399 0.306 0.140
0.399 0.654 0.306
0.601 0.346 0.694
0.601 0.694 0.860
0.601 0.860 0.346
0.654 0.140 0.306
0.654 0.306 0.399
0.654 0.399 0.140
0.689 0.937 0.937
0.694 0.346 0.860
0.694 0.601 0.346
0.694 0.860 0.601
0.860 0.346 0.601
0.860 0.601 0.694
0.860 0.694 0.346
0.937 0.689 0.937
0.937 0.937 0.689
0.937 0.937 0.937
```

Principal peaks in the range 10° ≤ 2θ ≤ 90°, by angle:
| 2theta | I/Imax |
| --- | --- |
| 11.0 | 36 |
| 21.1 | 100 |
| 33.3 | 94 |
| 36.4 | 75 |
| 46.4 | 22 |
| 57.1 | 31 |

---

Please write out number 1 again, unchanged.
# Na5Ni2P2C2O14
Theoretical powder diffractogram, copper Kα. Input: the GGA+U geometry in Alexandria.
Neutral-atom scattering factors, no anomalous dispersion.

Crystal structure
```
Na5Ni2P2C2O14
1.0
5.169 0.000 0.000
0.177 11.091 0.000
0.181 3.205 10.699
Na Ni P C O
10 4 4 4 28
Direct
0.231 0.087 0.332
0.242 0.617 0.132
0.247 0.386 0.372
0.249 0.880 0.880
0.253 0.130 0.636
0.747 0.870 0.364
0.751 0.120 0.120
0.753 0.614 0.628
0.758 0.383 0.868
0.769 0.913 0.668
0.215 0.200 0.945
0.218 0.699 0.451
0.782 0.301 0.549
0.785 0.800 0.055
0.288 0.416 0.663
0.289 0.916 0.167
0.711 0.084 0.833
0.712 0.584 0.337
0.273 0.337 0.085
0.276 0.842 0.593
0.724 0.158 0.407
0.727 0.663 0.915
0.047 0.307 0.054
0.051 0.813 0.559
0.151 0.839 0.092
0.155 0.340 0.586
0.205 0.368 0.803
0.212 0.557 0.616
0.214 0.058 0.121
0.219 0.873 0.309
0.295 0.914 0.665
0.299 0.402 0.161
0.411 0.098 0.850
0.411 0.600 0.348
0.469 0.293 0.036
0.481 0.799 0.549
0.519 0.201 0.451
0.531 0.707 0.964
0.589 0.400 0.652
0.589 0.902 0.150
0.701 0.598 0.839
0.705 0.086 0.335
0.781 0.127 0.691
0.786 0.942 0.879
0.788 0.443 0.384
0.795 0.632 0.197
0.845 0.660 0.414
0.849 0.161 0.908
0.949 0.187 0.441
0.953 0.693 0.946
```

Principal peaks in the range 10° ≤ 2θ ≤ 90°, by angle:
| 2theta | I/Imax |
| --- | --- |
| 26.1 | 53 |
| 26.8 | 100 |
| 33.5 | 57 |
| 33.6 | 53 |
| 33.8 | 55 |
| 34.7 | 79 |

---

Which formula does entry 2 have? Na6Ni2C4SO16